Starting from a PBE-relaxed structure, the XRD peak list of InGaAs2 was simulated for CuKα.
Intensities are scaled so that the largest is 100.

The 12 most intense peaks (10 to 90 degrees two-theta), in order of falling intensity:
2theta, d/Å, I/Imax
25.86, 3.445, 100
42.82, 2.112, 49
50.82, 1.797, 31
42.96, 2.106, 25
78.62, 1.217, 16
50.58, 1.805, 15
68.47, 1.370, 12
62.37, 1.489, 8
78.33, 1.221, 7
84.52, 1.146, 7
68.68, 1.367, 6
61.94, 1.498, 4

Atomic structure:
Cell lengths 4.2111, 4.2111, 5.9924 Å; angles 90.00, 90.00, 90.00 degrees
Sites, in units of the cell vectors:
In 0.0000 0.0000 0.0000
Ga 0.5000 0.5000 0.5000
As 0.0000 0.5000 0.7305
As 0.5000 0.0000 0.2695